(1)
Diffraction record for LaMgH8Ir2. The powder XRD pattern is calculated, not measured: it uses a GGA-PBE-relaxed structure and Cu Ka.
Lines closer than 0.1° are merged.

Peak list (10 most intense, 15° ≤ 2θ ≤ 90°, sorted by position)
- 15.5°, 5.721 Å, rel. 30
- 21.8°, 4.077 Å, rel. 62
- 23.6°, 3.770 Å, rel. 26
- 29.8°, 3.000 Å, rel. 60
- 33.7°, 2.657 Å, rel. 100
- 37.1°, 2.423 Å, rel. 98
- 51.0°, 1.790 Å, rel. 32
- 58.1°, 1.589 Å, rel. 26
- 64.7°, 1.440 Å, rel. 32
- 82.9°, 1.165 Å, rel. 19

Lattice parameters (Å, degrees): 6.368 6.368 6.368 44.73 44.73 44.73
Fractional positions:
La1 0.000 0.000 0.000
Mg1 0.500 0.500 0.500
H1 0.097 0.846 0.405
H2 0.154 0.595 0.903
H3 0.304 0.304 0.304
H4 0.405 0.097 0.846
H5 0.595 0.903 0.154
H6 0.696 0.696 0.696
H7 0.846 0.405 0.097
H8 0.903 0.154 0.595
Ir1 0.204 0.204 0.204
Ir2 0.796 0.796 0.796

=====

(2)
Diffraction record for LaH6Ir2Pb. The powder XRD pattern is calculated, not measured: it uses a GGA-PBE-relaxed structure and Cu Ka.
Lines closer than 0.1° are merged.

Peak list (10 most intense, 15° ≤ 2θ ≤ 90°, sorted by position)
- 30.9°, 2.890 Å, rel. 43
- 32.9°, 2.719 Å, rel. 100
- 34.9°, 2.568 Å, rel. 11
- 35.7°, 2.515 Å, rel. 14
- 36.1°, 2.491 Å, rel. 31
- 42.3°, 2.138 Å, rel. 17
- 52.2°, 1.754 Å, rel. 11
- 62.9°, 1.478 Å, rel. 17
- 65.0°, 1.434 Å, rel. 12
- 67.8°, 1.383 Å, rel. 14

Lattice parameters (Å, degrees): 7.127 7.127 4.982 90.00 90.00 114.45
Fractional positions:
La1 0.187 0.813 0.750
La2 0.813 0.187 0.250
H1 0.081 0.440 0.532
H2 0.081 0.440 0.968
H3 0.117 0.117 0.000
H4 0.117 0.117 0.500
H5 0.440 0.081 0.032
H6 0.440 0.081 0.468
H7 0.560 0.919 0.532
H8 0.560 0.919 0.968
H9 0.883 0.883 0.000
H10 0.883 0.883 0.500
H11 0.919 0.560 0.032
H12 0.919 0.560 0.468
Ir1 0.130 0.296 0.750
Ir2 0.296 0.130 0.250
Ir3 0.704 0.870 0.750
Ir4 0.870 0.704 0.250
Pb1 0.415 0.585 0.250
Pb2 0.585 0.415 0.750

=====

(3)
Diffraction record for LaH8Ir2Pd. The powder XRD pattern is calculated, not measured: it uses a GGA-PBE-relaxed structure and Cu Ka.
Lines closer than 0.1° are merged.

Peak list (10 most intense, 15° ≤ 2θ ≤ 90°, sorted by position)
- 16.0°, 5.548 Å, rel. 36
- 30.2°, 2.958 Å, rel. 92
- 34.4°, 2.610 Å, rel. 46
- 37.0°, 2.428 Å, rel. 100
- 40.6°, 2.224 Å, rel. 20
- 43.7°, 2.070 Å, rel. 19
- 48.5°, 1.877 Å, rel. 25
- 59.8°, 1.548 Å, rel. 19
- 62.6°, 1.485 Å, rel. 23
- 66.7°, 1.402 Å, rel. 18

Lattice parameters (Å, degrees): 6.216 6.216 6.216 45.98 45.98 45.98
Fractional positions:
La1 0.000 0.000 0.000
H1 0.118 0.418 0.817
H2 0.183 0.882 0.582
H3 0.311 0.311 0.311
H4 0.418 0.817 0.118
H5 0.582 0.183 0.882
H6 0.689 0.689 0.689
H7 0.817 0.118 0.418
H8 0.882 0.582 0.183
Ir1 0.211 0.211 0.211
Ir2 0.789 0.789 0.789
Pd1 0.500 0.500 0.500

=====

(4)
Diffraction record for LaH6IrPd2. The powder XRD pattern is calculated, not measured: it uses a GGA-PBE-relaxed structure and Cu Ka.
Lines closer than 0.1° are merged.

Peak list (10 most intense, 15° ≤ 2θ ≤ 90°, sorted by position)
- 33.5°, 2.676 Å, rel. 100
- 37.5°, 2.401 Å, rel. 13
- 37.7°, 2.384 Å, rel. 20
- 41.3°, 2.187 Å, rel. 15
- 54.2°, 1.692 Å, rel. 9
- 57.0°, 1.617 Å, rel. 8
- 57.2°, 1.612 Å, rel. 12
- 65.4°, 1.426 Å, rel. 14
- 70.3°, 1.339 Å, rel. 12
- 70.4°, 1.338 Å, rel. 8

Lattice parameters (Å, degrees): 4.802 8.748 4.768 90.00 90.00 90.00
Fractional positions:
La1 0.000 0.000 0.000
La2 0.500 0.500 0.500
H1 0.117 0.361 0.239
H2 0.117 0.361 0.761
H3 0.180 0.085 0.500
H4 0.320 0.585 0.000
H5 0.383 0.861 0.261
H6 0.383 0.861 0.739
H7 0.617 0.139 0.261
H8 0.617 0.139 0.739
H9 0.680 0.415 0.000
H10 0.820 0.915 0.500
H11 0.883 0.639 0.239
H12 0.883 0.639 0.761
Ir1 0.000 0.500 0.000
Ir2 0.500 0.000 0.500
Pd1 0.081 0.749 0.500
Pd2 0.419 0.249 0.000
Pd3 0.581 0.751 0.000
Pd4 0.919 0.251 0.500

=====

(5)
Diffraction record for LaH4IrPt2. The powder XRD pattern is calculated, not measured: it uses a GGA-PBE-relaxed structure and Cu Ka.
Lines closer than 0.1° are merged.

Peak list (10 most intense, 15° ≤ 2θ ≤ 90°, sorted by position)
- 32.3°, 2.770 Å, rel. 100
- 36.5°, 2.465 Å, rel. 36
- 37.1°, 2.422 Å, rel. 35
- 38.8°, 2.320 Å, rel. 32
- 40.7°, 2.215 Å, rel. 24
- 41.0°, 2.203 Å, rel. 27
- 51.5°, 1.775 Å, rel. 15
- 58.0°, 1.591 Å, rel. 9
- 63.6°, 1.464 Å, rel. 15
- 68.9°, 1.363 Å, rel. 9

Lattice parameters (Å, degrees): 4.487 4.727 5.267 110.99 109.28 100.95
Fractional positions:
La1 0.000 0.000 0.000
H1 0.174 0.527 0.744
H2 0.514 0.506 0.473
H3 0.540 0.195 0.751
H4 0.950 0.965 0.466
Ir1 0.744 0.249 0.517
Pt1 0.227 0.724 0.466
Pt2 0.526 0.529 0.051

=====

(6)
Diffraction record for La5HIrPt2. The powder XRD pattern is calculated, not measured: it uses a GGA-PBE-relaxed structure and Cu Ka.
Lines closer than 0.1° are merged.

Peak list (10 most intense, 15° ≤ 2θ ≤ 90°, sorted by position)
- 29.9°, 2.989 Å, rel. 12
- 30.5°, 2.928 Å, rel. 100
- 31.1°, 2.877 Å, rel. 36
- 33.4°, 2.684 Å, rel. 13
- 36.3°, 2.477 Å, rel. 50
- 42.1°, 2.144 Å, rel. 12
- 44.0°, 2.058 Å, rel. 29
- 46.8°, 1.940 Å, rel. 14
- 51.0°, 1.790 Å, rel. 14
- 54.9°, 1.673 Å, rel. 15

Lattice parameters (Å, degrees): 9.091 9.091 12.866 90.00 90.00 153.85
Fractional positions:
La1 0.001 0.999 0.500
La2 0.142 0.858 0.759
La3 0.195 0.805 0.106
La4 0.201 0.799 0.419
La5 0.459 0.541 0.745
La6 0.541 0.459 0.245
La7 0.799 0.201 0.919
La8 0.805 0.195 0.606
La9 0.858 0.142 0.259
La10 0.999 0.001 0.000
H1 0.061 0.939 0.160
H2 0.939 0.061 0.660
Ir1 0.302 0.698 0.762
Ir2 0.698 0.302 0.262
Pt1 0.380 0.620 0.441
Pt2 0.381 0.619 0.076
Pt3 0.619 0.381 0.576
Pt4 0.620 0.380 0.941

=====

(7)
Diffraction record for La2H6IrPt. The powder XRD pattern is calculated, not measured: it uses a GGA-PBE-relaxed structure and Cu Ka.
Lines closer than 0.1° are merged.

Peak list (10 most intense, 15° ≤ 2θ ≤ 90°, sorted by position)
- 32.7°, 2.739 Å, rel. 69
- 33.1°, 2.708 Å, rel. 100
- 33.2°, 2.696 Å, rel. 33
- 46.8°, 1.943 Å, rel. 13
- 47.1°, 1.931 Å, rel. 13
- 58.5°, 1.577 Å, rel. 26
- 58.6°, 1.575 Å, rel. 13
- 58.8°, 1.570 Å, rel. 13
- 59.3°, 1.558 Å, rel. 13
- 59.5°, 1.554 Å, rel. 13

Lattice parameters (Å, degrees): 5.421 5.421 5.393 119.12 119.12 91.59
Fractional positions:
La1 0.250 0.750 0.000
La2 0.750 0.250 0.000
H1 0.229 0.771 0.500
H2 0.230 0.230 0.961
H3 0.236 0.236 0.498
H4 0.764 0.764 0.502
H5 0.770 0.770 0.039
H6 0.771 0.229 0.500
Ir1 0.000 0.000 0.500
Pt1 0.500 0.500 0.500

=====

(8)
Diffraction record for LaTbH8Ir2. The powder XRD pattern is calculated, not measured: it uses a GGA-PBE-relaxed structure and Cu Ka.
Lines closer than 0.1° are merged.

Peak list (10 most intense, 15° ≤ 2θ ≤ 90°, sorted by position)
- 28.4°, 3.137 Å, rel. 100
- 36.8°, 2.439 Å, rel. 56
- 44.2°, 2.048 Å, rel. 24
- 47.2°, 1.926 Å, rel. 26
- 58.9°, 1.569 Å, rel. 10
- 61.3°, 1.512 Å, rel. 24
- 66.4°, 1.408 Å, rel. 10
- 71.5°, 1.319 Å, rel. 12
- 71.8°, 1.315 Å, rel. 7
- 85.4°, 1.137 Å, rel. 10

Lattice parameters (Å, degrees): 6.851 6.851 6.851 41.72 41.72 41.72
Fractional positions:
La1 0.000 0.000 0.000
Tb1 0.500 0.500 0.500
H1 0.034 0.906 0.390
H2 0.094 0.610 0.966
H3 0.321 0.321 0.321
H4 0.390 0.034 0.906
H5 0.610 0.966 0.094
H6 0.679 0.679 0.679
H7 0.906 0.390 0.034
H8 0.966 0.094 0.610
Ir1 0.235 0.235 0.235
Ir2 0.765 0.765 0.765